Li2MnCoO4: theoretical XRD peak list (a wavelength of 1.5418 Å), based on a cell relaxed with PBE+U.
Kinematic intensities with the Lorentz-polarization factor, no thermal factor.

Cell and atoms:
Lattice parameters (Å, degrees): 4.084 4.084 8.589 90.00 90.00 90.00
Space group I-4m2 (No. 119)
Inequivalent atoms, fractional coordinates:
Li1 0.000 0.000 0.000 x2
Li2 0.000 0.500 0.250 x2
Mn1 0.000 0.000 0.500 x2
Co1 0.000 0.500 0.750 x2
O1 0.000 0.000 0.273 x4
O2 0.000 0.500 0.514 x4

Largest 10 diffraction maxima, by angle, 10° ≤ 2θ ≤ 90°:
- 24.13°, I 100
- 37.53°, I 19
- 38.40°, I 16
- 42.08°, I 27
- 44.36°, I 50
- 51.12°, I 23
- 58.27°, I 11
- 62.79°, I 28
- 64.53°, I 14
- 80.08°, I 12

---

Li7Mn2Co3O12: theoretical XRD peak list (a wavelength of 1.5418 Å), based on a cell relaxed with PBE+U.
Kinematic intensities with the Lorentz-polarization factor, no thermal factor.

Cell and atoms:
Lattice parameters (Å, degrees): 5.058 5.806 7.686 102.29 96.00 105.80
Space group P1 (No. 1)
Inequivalent atoms, fractional coordinates:
Li1 0.000 0.000 0.000 x1
Li2 0.000 0.326 0.340 x1
Li3 0.002 0.662 0.662 x1
Li4 0.003 0.171 0.656 x1
Li5 0.504 0.252 0.500 x1
Li6 0.993 0.494 0.005 x1
Li7 0.995 0.829 0.337 x1
Mn1 0.500 0.086 0.831 x1
Mn2 0.506 0.747 0.499 x1
Co1 0.494 0.928 0.178 x1
Co2 0.495 0.411 0.167 x1
Co3 0.496 0.579 0.832 x1
O1 0.266 0.126 0.239 x1
O2 0.267 0.279 0.925 x1
O3 0.272 0.621 0.261 x1
O4 0.279 0.955 0.594 x1
O5 0.281 0.482 0.592 x1
O6 0.282 0.799 0.910 x1
O7 0.703 0.687 0.077 x1
O8 0.722 0.204 0.076 x1
O9 0.722 0.369 0.765 x1
O10 0.725 0.543 0.407 x1
O11 0.734 0.017 0.416 x1
O12 0.734 0.886 0.740 x1

Largest 10 diffraction maxima, by angle, 10° ≤ 2θ ≤ 90°:
- 11.97°, I 9
- 18.51°, I 100
- 35.87°, I 14
- 36.44°, I 12
- 36.77°, I 12
- 43.43°, I 29
- 44.11°, I 28
- 44.51°, I 27
- 48.11°, I 8
- 63.65°, I 22

---

Li4Mn3CoO8: theoretical XRD peak list (a wavelength of 1.5418 Å), based on a cell relaxed with PBE+U.
Kinematic intensities with the Lorentz-polarization factor, no thermal factor.

Cell and atoms:
Lattice parameters (Å, degrees): 5.369 2.859 9.914 90.00 94.75 90.00
Space group P2/m (No. 10)
Inequivalent atoms, fractional coordinates:
Li1 0.000 0.000 0.000 x1
Li2 0.249 0.500 0.251 x2
Li3 0.500 0.000 0.500 x1
Mn1 0.000 0.500 0.500 x1
Mn2 0.257 0.000 0.753 x2
Co1 0.500 0.500 0.000 x1
O1 0.119 0.000 0.386 x2
O2 0.136 0.500 0.866 x2
O3 0.373 0.500 0.639 x2
O4 0.383 0.000 0.109 x2

Largest 10 diffraction maxima, by angle, 10° ≤ 2θ ≤ 90°:
- 18.19°, I 100
- 33.10°, I 23
- 36.32°, I 28
- 37.14°, I 9
- 39.61°, I 36
- 44.39°, I 49
- 46.49°, I 12
- 58.44°, I 9
- 60.66°, I 16
- 61.32°, I 16

---

Li7Mn2Co3O12: theoretical XRD peak list (a wavelength of 1.5418 Å), based on a cell relaxed with PBE+U.
Kinematic intensities with the Lorentz-polarization factor, no thermal factor.

Cell and atoms:
Lattice parameters (Å, degrees): 5.089 5.887 7.649 101.42 108.16 90.59
Space group P1 (No. 1)
Inequivalent atoms, fractional coordinates:
Li1 0.000 0.000 0.000 x1
Li2 0.001 0.319 0.332 x1
Li3 0.497 0.080 0.330 x1
Li4 0.972 0.166 0.656 x1
Li5 0.987 0.664 0.659 x1
Li6 0.991 0.837 0.329 x1
Li7 0.999 0.489 0.997 x1
Mn1 0.494 0.581 0.330 x1
Mn2 0.496 0.745 0.998 x1
Co1 0.485 0.923 0.651 x1
Co2 0.489 0.414 0.663 x1
Co3 0.500 0.233 0.000 x1
O1 0.256 0.627 0.482 x1
O2 0.259 0.132 0.520 x1
O3 0.267 0.937 0.846 x1
O4 0.273 0.302 0.162 x1
O5 0.275 0.462 0.833 x1
O6 0.275 0.769 0.162 x1
O7 0.705 0.697 0.821 x1
O8 0.709 0.388 0.494 x1
O9 0.719 0.546 0.160 x1
O10 0.724 0.853 0.494 x1
O11 0.730 0.017 0.146 x1
O12 0.732 0.202 0.834 x1

Largest 10 diffraction maxima, by angle, 10° ≤ 2θ ≤ 90°:
- 12.46°, I 8
- 18.40°, I 100
- 35.77°, I 13
- 36.08°, I 13
- 36.53°, I 12
- 43.19°, I 29
- 43.82°, I 28
- 44.21°, I 27
- 63.21°, I 15
- 63.60°, I 8

---

Li7Mn4CoO12: theoretical XRD peak list (a wavelength of 1.5418 Å), based on a cell relaxed with PBE+U.
Kinematic intensities with the Lorentz-polarization factor, no thermal factor.

Cell and atoms:
Lattice parameters (Å, degrees): 5.790 5.931 7.721 76.71 68.20 60.83
Space group P1 (No. 1)
Inequivalent atoms, fractional coordinates:
Li1 0.000 0.000 0.000 x1
Li2 0.003 0.659 0.327 x1
Li3 0.478 0.858 0.680 x1
Li4 0.485 0.517 0.004 x1
Li5 0.494 0.004 0.999 x1
Li6 0.520 0.141 0.307 x1
Li7 0.996 0.337 0.660 x1
Mn1 0.000 0.496 0.998 x1
Mn2 0.498 0.670 0.325 x1
Mn3 0.501 0.330 0.663 x1
Mn4 0.990 0.843 0.665 x1
Co1 0.004 0.158 0.326 x1
O1 0.219 0.680 0.836 x1
O2 0.225 0.005 0.500 x1
O3 0.227 0.333 0.163 x1
O4 0.240 0.206 0.835 x1
O5 0.242 0.850 0.183 x1
O6 0.244 0.532 0.512 x1
O7 0.752 0.467 0.478 x1
O8 0.761 0.144 0.806 x1
O9 0.761 0.793 0.155 x1
O10 0.772 0.666 0.826 x1
O11 0.774 0.988 0.494 x1
O12 0.779 0.321 0.153 x1

Largest 10 diffraction maxima, by angle, 10° ≤ 2θ ≤ 90°:
- 18.47°, I 100
- 34.77°, I 14
- 36.52°, I 24
- 41.86°, I 29
- 44.45°, I 26
- 44.58°, I 25
- 62.68°, I 15
- 62.77°, I 7
- 62.87°, I 7
- 65.16°, I 10

---

Li5MnCo2O8: theoretical XRD peak list (a wavelength of 1.5418 Å), based on a cell relaxed with PBE+U.
Kinematic intensities with the Lorentz-polarization factor, no thermal factor.

Cell and atoms:
Lattice parameters (Å, degrees): 5.812 2.871 8.097 90.00 90.93 90.00
Space group Pm (No. 6)
Inequivalent atoms, fractional coordinates:
Li1 0.000 0.000 0.000 x1
Li2 0.000 0.000 0.493 x1
Li3 0.242 0.500 0.264 x1
Li4 0.503 0.000 0.491 x1
Li5 0.759 0.500 0.726 x1
Mn1 0.250 0.500 0.740 x1
Co1 0.504 0.000 0.000 x1
Co2 0.755 0.500 0.253 x1
O1 0.028 0.000 0.752 x1
O2 0.255 0.500 0.516 x1
O3 0.278 0.500 0.991 x1
O4 0.484 0.000 0.760 x1
O5 0.528 0.000 0.235 x1
O6 0.726 0.500 0.011 x1
O7 0.748 0.500 0.474 x1
O8 0.970 0.000 0.244 x1

Largest 10 diffraction maxima, by angle, 10° ≤ 2θ ≤ 90°:
- 10.93°, I 27
- 15.25°, I 17
- 18.65°, I 100
- 18.94°, I 10
- 36.72°, I 24
- 36.95°, I 11
- 44.36°, I 58
- 44.78°, I 27
- 64.44°, I 15
- 65.28°, I 14

---

Li7Mn2Co3O12: theoretical XRD peak list (a wavelength of 1.5418 Å), based on a cell relaxed with PBE+U.
Kinematic intensities with the Lorentz-polarization factor, no thermal factor.

Cell and atoms:
Lattice parameters (Å, degrees): 9.831 8.859 5.006 90.00 99.25 90.00
Space group C2 (No. 5)
Inequivalent atoms, fractional coordinates:
Li1 0.000 0.000 0.000 x2
Li2 0.242 0.836 0.240 x4
Li3 0.243 0.998 0.750 x4
Li4 0.247 0.161 0.251 x4
Mn1 0.000 0.330 0.000 x2
Mn2 0.000 0.499 0.500 x2
Co1 0.000 0.154 0.500 x2
Co2 0.000 0.679 0.000 x2
Co3 0.000 0.839 0.500 x2
O1 0.109 0.493 0.861 x4
O2 0.110 0.340 0.357 x4
O3 0.112 0.182 0.863 x4
O4 0.113 0.652 0.374 x4
O5 0.116 0.823 0.862 x4
O6 0.121 0.998 0.390 x4

Largest 10 diffraction maxima, by angle, 10° ≤ 2θ ≤ 90°:
- 13.53°, I 9
- 18.29°, I 100
- 35.87°, I 27
- 36.36°, I 12
- 43.51°, I 57
- 43.71°, I 28
- 47.35°, I 8
- 57.36°, I 14
- 62.64°, I 15
- 64.10°, I 15

---

Li4MnCo2O7: theoretical XRD peak list (a wavelength of 1.5418 Å), based on a cell relaxed with PBE+U.
Kinematic intensities with the Lorentz-polarization factor, no thermal factor.

Cell and atoms:
Lattice parameters (Å, degrees): 12.562 2.910 14.296 90.00 110.06 90.00
Space group Cm (No. 8)
Inequivalent atoms, fractional coordinates:
Li1 0.000 0.000 0.000 x2
Li2 0.009 0.000 0.513 x2
Li3 0.079 0.500 0.358 x2
Li4 0.141 0.000 0.211 x2
Li5 0.207 0.500 0.065 x2
Li6 0.300 0.000 0.940 x2
Li7 0.358 0.500 0.795 x2
Li8 0.429 0.000 0.651 x2
Mn1 0.069 0.500 0.861 x2
Mn2 0.362 0.500 0.291 x2
Co1 0.146 0.000 0.718 x2
Co2 0.220 0.500 0.579 x2
Co3 0.289 0.000 0.435 x2
Co4 0.441 0.000 0.136 x2
O1 0.014 0.000 0.760 x2
O2 0.073 0.500 0.115 x2
O3 0.089 0.500 0.620 x2
O4 0.137 0.000 0.950 x2
O5 0.158 0.000 0.474 x2
O6 0.201 0.500 0.812 x2
O7 0.231 0.500 0.333 x2
O8 0.278 0.000 0.678 x2
O9 0.302 0.000 0.200 x2
O10 0.352 0.500 0.538 x2
O11 0.359 0.500 0.046 x2
O12 0.420 0.000 0.392 x2
O13 0.440 0.000 0.889 x2
O14 0.492 0.500 0.256 x2

Largest 10 diffraction maxima, by angle, 10° ≤ 2θ ≤ 90°:
- 18.38°, I 100
- 36.18°, I 26
- 36.72°, I 11
- 43.53°, I 56
- 44.71°, I 24
- 57.26°, I 11
- 63.81°, I 14
- 63.99°, I 8
- 64.52°, I 13
- 67.19°, I 9

---

Li7Mn2Co3O12: theoretical XRD peak list (a wavelength of 1.5418 Å), based on a cell relaxed with PBE+U.
Kinematic intensities with the Lorentz-polarization factor, no thermal factor.

Cell and atoms:
Lattice parameters (Å, degrees): 2.970 6.433 11.948 102.95 93.77 103.28
Space group P1 (No. 1)
Inequivalent atoms, fractional coordinates:
Li1 0.000 0.000 0.000 x1
Li2 0.014 0.005 0.504 x1
Li3 0.318 0.657 0.833 x1
Li4 0.334 0.666 0.090 x1
Li5 0.387 0.667 0.323 x1
Li6 0.679 0.343 0.666 x1
Li7 0.699 0.356 0.165 x1
Mn1 0.005 0.004 0.751 x1
Mn2 0.040 0.999 0.245 x1
Co1 0.361 0.671 0.581 x1
Co2 0.663 0.350 0.925 x1
Co3 0.720 0.343 0.414 x1
O1 0.136 0.334 0.032 x1
O2 0.181 0.352 0.535 x1
O3 0.184 0.323 0.796 x1
O4 0.239 0.328 0.297 x1
O5 0.484 0.025 0.876 x1
O6 0.518 0.008 0.140 x1
O7 0.534 0.990 0.624 x1
O8 0.578 0.022 0.361 x1
O9 0.820 0.636 0.951 x1
O10 0.826 0.682 0.703 x1
O11 0.877 0.697 0.213 x1
O12 0.885 0.658 0.464 x1

Largest 10 diffraction maxima, by angle, 10° ≤ 2θ ≤ 90°:
- 18.41°, I 100
- 34.61°, I 17
- 36.67°, I 26
- 41.53°, I 34
- 44.51°, I 27
- 44.81°, I 26
- 62.30°, I 8
- 62.56°, I 8
- 62.71°, I 8
- 62.91°, I 8

---

Li7Mn2Co3O12: theoretical XRD peak list (a wavelength of 1.5418 Å), based on a cell relaxed with PBE+U.
Kinematic intensities with the Lorentz-polarization factor, no thermal factor.

Cell and atoms:
Lattice parameters (Å, degrees): 5.893 5.901 6.512 103.63 103.12 90.38
Space group P-1 (No. 2)
Inequivalent atoms, fractional coordinates:
Li1 0.000 0.000 0.000 x1
Li2 0.000 0.500 0.000 x1
Li3 0.162 0.167 0.677 x2
Li4 0.327 0.837 0.328 x2
Li5 0.500 0.500 0.000 x1
Mn1 0.331 0.329 0.331 x2
Co1 0.164 0.677 0.677 x2
Co2 0.500 0.000 0.000 x1
O1 0.097 0.110 0.344 x2
O2 0.099 0.566 0.345 x2
O3 0.260 0.755 0.982 x2
O4 0.261 0.250 0.021 x2
O5 0.423 0.431 0.651 x2
O6 0.432 0.899 0.670 x2

Largest 10 diffraction maxima, by angle, 10° ≤ 2θ ≤ 90°:
- 15.48°, I 9
- 18.43°, I 100
- 35.72°, I 13
- 35.95°, I 14
- 36.37°, I 13
- 43.25°, I 29
- 43.56°, I 28
- 44.17°, I 26
- 47.81°, I 8
- 63.06°, I 15